Theoretical X-ray powder pattern
Compound: Pr2CdIn8
Radiation: Cu Ka
Structure: a cell relaxed with PBE
No peak broadening, texture or thermal motion is included.

Principal peaks in the range 5 to 70 degrees two-theta, sorted by position:
Position (°2θ)	I_rel
29.49	18
33.72	100
36.24	9
36.60	48
43.82	7
52.46	13
52.73	17
58.38	11
64.07	30
66.03	10

Cell and atoms:
```
data_Pr2CdIn8
_cell_length_a 4.9101
_cell_length_b 4.9101
_cell_length_c 12.3943
_cell_angle_alpha 90.00
_cell_angle_beta 90.00
_cell_angle_gamma 90.00
_space_group_name_H-M_alt 'P 4/m m m'
_space_group_IT_number 123
_space_group_name_Hall '-P 4 2'
loop_
_atom_site_label
_atom_site_type_symbol
_atom_site_fract_x
_atom_site_fract_y
_atom_site_fract_z
_atom_site_occupancy
Pr1 Pr 0.0000 0.0000 0.1868 1
Cd1 Cd 0.0000 0.0000 0.5000 1
In1 In 0.0000 0.5000 0.0000 1
In2 In 0.0000 0.5000 0.3659 1
In3 In 0.5000 0.5000 0.1867 1
```

***

Theoretical X-ray powder pattern
Compound: PrCd2In
Radiation: Cu Ka
Structure: a cell relaxed with PBE
No peak broadening, texture or thermal motion is included.

Principal peaks in the range 5 to 70 degrees two-theta, sorted by position:
Position (°2θ)	I_rel
26.47	23
29.71	18
30.01	93
31.34	99
33.19	100
38.59	62
40.21	45
40.98	23
41.47	21
56.96	39

Cell and atoms:
```
data_PrCd2In
_cell_length_a 4.6657
_cell_length_b 18.0437
_cell_length_c 10.1004
_cell_angle_alpha 90.00
_cell_angle_beta 90.00
_cell_angle_gamma 90.00
_space_group_name_H-M_alt 'C m c m'
_space_group_IT_number 63
_space_group_name_Hall '-C 2c 2'
loop_
_atom_site_label
_atom_site_type_symbol
_atom_site_fract_x
_atom_site_fract_y
_atom_site_fract_z
_atom_site_occupancy
Pr1 Pr 0.0000 0.0000 0.0000 1
Pr2 Pr 0.0000 0.1974 0.2500 1
Cd1 Cd 0.0000 0.1943 0.6048 1
Cd2 Cd 0.0000 0.3917 0.2500 1
Cd3 Cd 0.0000 0.4564 0.7500 1
In1 In 0.0000 0.3585 0.5322 1
```

***

Theoretical X-ray powder pattern
Compound: Pr4CdIn
Radiation: Cu Ka
Structure: a cell relaxed with PBE
No peak broadening, texture or thermal motion is included.

Principal peaks in the range 5 to 70 degrees two-theta, sorted by position:
Position (°2θ)	I_rel
31.11	100
32.92	45
41.76	10
47.12	8
47.37	8
54.17	18
57.57	17
57.73	17
64.96	6
69.63	7

Cell and atoms:
```
data_Pr4CdIn
_cell_length_a 13.5413
_cell_length_b 3.8381
_cell_length_c 7.7147
_cell_angle_alpha 90.00
_cell_angle_beta 106.57
_cell_angle_gamma 90.00
_space_group_name_H-M_alt 'C 1 2/m 1'
_space_group_IT_number 12
_space_group_name_Hall '-C 2y'
loop_
_atom_site_label
_atom_site_type_symbol
_atom_site_fract_x
_atom_site_fract_y
_atom_site_fract_z
_atom_site_occupancy
Pr1 Pr 0.1524 0.0000 0.3281 1
Pr2 Pr 0.1545 0.0000 0.8251 1
Cd1 Cd 0.0000 0.5000 0.5000 1
In1 In 0.0000 0.5000 0.0000 1
```

***

Theoretical X-ray powder pattern
Compound: Pr5CdIn3
Radiation: Cu Ka
Structure: a cell relaxed with PBE
No peak broadening, texture or thermal motion is included.

Principal peaks in the range 5 to 70 degrees two-theta, sorted by position:
Position (°2θ)	I_rel
31.08	11
32.02	100
40.95	4
45.91	16
49.20	6
53.64	5
57.04	20
59.86	4
63.17	6
63.83	13

Cell and atoms:
```
data_Pr5CdIn3
_cell_length_a 9.6924
_cell_length_b 9.6924
_cell_length_c 6.8346
_cell_angle_alpha 90.00
_cell_angle_beta 90.00
_cell_angle_gamma 120.00
_space_group_name_H-M_alt 'P 63/m c m'
_space_group_IT_number 193
_space_group_name_Hall '-P 6c 2'
loop_
_atom_site_label
_atom_site_type_symbol
_atom_site_fract_x
_atom_site_fract_y
_atom_site_fract_z
_atom_site_occupancy
Pr1 Pr 0.0000 0.2955 0.2500 1
Pr2 Pr 0.3333 0.6667 0.0000 1
Cd1 Cd 0.0000 0.0000 0.0000 1
In1 In 0.0000 0.3649 0.7500 1
```

***

Theoretical X-ray powder pattern
Compound: Pr9Cd2In
Radiation: Cu Ka
Structure: a cell relaxed with PBE
No peak broadening, texture or thermal motion is included.

Principal peaks in the range 5 to 70 degrees two-theta, sorted by position:
Position (°2θ)	I_rel
17.66	1
25.07	1
30.83	100
35.75	50
51.46	35
61.20	42
64.24	12

Cell and atoms:
```
data_Pr9Cd2In
_cell_length_a 5.0262
_cell_length_b 5.0262
_cell_length_c 15.0493
_cell_angle_alpha 90.00
_cell_angle_beta 90.00
_cell_angle_gamma 90.00
_space_group_name_H-M_alt 'P 4/m m m'
_space_group_IT_number 123
_space_group_name_Hall '-P 4 2'
loop_
_atom_site_label
_atom_site_type_symbol
_atom_site_fract_x
_atom_site_fract_y
_atom_site_fract_z
_atom_site_occupancy
Pr1 Pr 0.0000 0.0000 0.0000 1
Pr2 Pr 0.0000 0.0000 0.3345 1
Pr3 Pr 0.0000 0.5000 0.1661 1
Pr4 Pr 0.0000 0.5000 0.5000 1
Cd1 Cd 0.5000 0.5000 0.3339 1
In1 In 0.5000 0.5000 0.0000 1
```

***

Theoretical X-ray powder pattern
Compound: Pr3Cd4In2
Radiation: Cu Ka
Structure: a cell relaxed with PBE
No peak broadening, texture or thermal motion is included.

Principal peaks in the range 5 to 70 degrees two-theta, sorted by position:
Position (°2θ)	I_rel
31.72	63
31.84	62
35.61	100
48.43	12
48.56	19
49.48	11
61.41	12
61.66	25
62.59	10
64.02	12

Cell and atoms:
```
data_Pr3Cd4In2
_cell_length_a 11.4040
_cell_length_b 5.0340
_cell_length_c 9.5099
_cell_angle_alpha 90.00
_cell_angle_beta 116.96
_cell_angle_gamma 90.00
_space_group_name_H-M_alt 'C 1 2/m 1'
_space_group_IT_number 12
_space_group_name_Hall '-C 2y'
loop_
_atom_site_label
_atom_site_type_symbol
_atom_site_fract_x
_atom_site_fract_y
_atom_site_fract_z
_atom_site_occupancy
Pr1 Pr 0.0000 0.0000 0.0000 1
Pr2 Pr 0.1656 0.5000 0.6706 1
Cd1 Cd 0.0749 0.0000 0.4102 1
Cd2 Cd 0.2063 0.5000 0.0367 1
In1 In 0.1101 0.5000 0.2757 1
```

***

Theoretical X-ray powder pattern
Compound: Pr5Cd4In
Radiation: Cu Ka
Structure: a cell relaxed with PBE
No peak broadening, texture or thermal motion is included.

Principal peaks in the range 5 to 70 degrees two-theta, sorted by position:
Position (°2θ)	I_rel
22.56	1
23.03	1
32.45	100
32.79	49
46.05	9
47.05	18
57.68	19
58.32	36
67.95	11
68.74	6

Cell and atoms:
```
data_Pr5Cd4In
_cell_length_a 3.8626
_cell_length_b 3.8626
_cell_length_c 19.7104
_cell_angle_alpha 90.00
_cell_angle_beta 90.00
_cell_angle_gamma 90.00
_space_group_name_H-M_alt 'P 4/m m m'
_space_group_IT_number 123
_space_group_name_Hall '-P 4 2'
loop_
_atom_site_label
_atom_site_type_symbol
_atom_site_fract_x
_atom_site_fract_y
_atom_site_fract_z
_atom_site_occupancy
Pr1 Pr 0.0000 0.0000 0.0000 1
Pr2 Pr 0.0000 0.0000 0.1993 1
Pr3 Pr 0.0000 0.0000 0.3989 1
Cd1 Cd 0.5000 0.5000 0.0998 1
Cd2 Cd 0.5000 0.5000 0.2979 1
In1 In 0.5000 0.5000 0.5000 1
```

***

Theoretical X-ray powder pattern
Compound: PrTlCdIn
Radiation: Cu Ka
Structure: a cell relaxed with PBE
No peak broadening, texture or thermal motion is included.

Principal peaks in the range 5 to 70 degrees two-theta, sorted by position:
Position (°2θ)	I_rel
18.56	4
26.63	4
32.66	100
37.64	34
38.38	16
54.29	12
54.85	23
64.81	27
65.81	13
68.43	12

Cell and atoms:
```
data_PrTlCdIn
_cell_length_a 4.6910
_cell_length_b 4.7760
_cell_length_c 4.7823
_cell_angle_alpha 90.00
_cell_angle_beta 90.00
_cell_angle_gamma 90.00
_space_group_name_H-M_alt 'P m m m'
_space_group_IT_number 47
_space_group_name_Hall '-P 2 2'
loop_
_atom_site_label
_atom_site_type_symbol
_atom_site_fract_x
_atom_site_fract_y
_atom_site_fract_z
_atom_site_occupancy
Pr1 Pr 0.0000 0.0000 0.0000 1
Tl1 Tl 0.5000 0.5000 0.0000 1
Cd1 Cd 0.0000 0.5000 0.5000 1
In1 In 0.5000 0.0000 0.5000 1
```

***

Theoretical X-ray powder pattern
Compound: CdIn3Pt12
Radiation: Cu Ka
Structure: a cell relaxed with PBE
No peak broadening, texture or thermal motion is included.

Principal peaks in the range 5 to 70 degrees two-theta, sorted by position:
Position (°2θ)	I_rel
21.92	2
22.05	1
31.26	3
38.53	100
44.70	33
44.97	16
50.35	1
55.57	1
65.06	11
65.27	21

Cell and atoms:
```
data_CdIn3Pt12
_cell_length_a 4.0550
_cell_length_b 4.0550
_cell_length_c 16.1251
_cell_angle_alpha 90.00
_cell_angle_beta 90.00
_cell_angle_gamma 90.00
_space_group_name_H-M_alt 'P 4/m m m'
_space_group_IT_number 123
_space_group_name_Hall '-P 4 2'
loop_
_atom_site_label
_atom_site_type_symbol
_atom_site_fract_x
_atom_site_fract_y
_atom_site_fract_z
_atom_site_occupancy
Cd1 Cd 0.0000 0.0000 0.0000 1
In1 In 0.0000 0.0000 0.2491 1
In2 In 0.0000 0.0000 0.5000 1
Pt1 Pt 0.0000 0.5000 0.1253 1
Pt2 Pt 0.0000 0.5000 0.3748 1
Pt3 Pt 0.5000 0.5000 0.0000 1
Pt4 Pt 0.5000 0.5000 0.2503 1
Pt5 Pt 0.5000 0.5000 0.5000 1
```

***

Theoretical X-ray powder pattern
Compound: CdIn2Pt
Radiation: Cu Ka
Structure: a cell relaxed with PBE
No peak broadening, texture or thermal motion is included.

Principal peaks in the range 5 to 70 degrees two-theta, sorted by position:
Position (°2θ)	I_rel
32.78	100
37.29	36
39.73	60
40.20	28
45.35	18
48.67	18
59.76	17
62.88	16
63.90	14
64.90	13

Cell and atoms:
```
data_CdIn2Pt
_cell_length_a 9.1939
_cell_length_b 3.7415
_cell_length_c 5.1020
_cell_angle_alpha 90.00
_cell_angle_beta 102.60
_cell_angle_gamma 90.00
_space_group_name_H-M_alt 'C 1 2/m 1'
_space_group_IT_number 12
_space_group_name_Hall '-C 2y'
loop_
_atom_site_label
_atom_site_type_symbol
_atom_site_fract_x
_atom_site_fract_y
_atom_site_fract_z
_atom_site_occupancy
Cd1 Cd 0.0000 0.0000 0.0000 1
In1 In 0.2345 0.0000 0.7228 1
Pt1 Pt 0.0000 0.5000 0.5000 1
```

***

Theoretical X-ray powder pattern
Compound: CdIn3Pt
Radiation: Cu Ka
Structure: a cell relaxed with PBE
No peak broadening, texture or thermal motion is included.

Principal peaks in the range 5 to 70 degrees two-theta, sorted by position:
Position (°2θ)	I_rel
16.96	48
24.08	41
29.60	35
34.31	100
38.51	25
42.35	19
49.30	71
52.52	13
58.56	14
61.44	24

Cell and atoms:
```
data_CdIn3Pt
_cell_length_a 5.2276
_cell_length_b 5.2276
_cell_length_c 5.2276
_cell_angle_alpha 90.00
_cell_angle_beta 90.00
_cell_angle_gamma 90.00
_space_group_name_H-M_alt 'P m -3 m'
_space_group_IT_number 221
_space_group_name_Hall '-P 4 2 3'
loop_
_atom_site_label
_atom_site_type_symbol
_atom_site_fract_x
_atom_site_fract_y
_atom_site_fract_z
_atom_site_occupancy
Cd1 Cd 0.0000 0.0000 0.0000 1
In1 In 0.0000 0.5000 0.5000 1
Pt1 Pt 0.5000 0.5000 0.5000 1
```

***

Theoretical X-ray powder pattern
Compound: PuCd3In
Radiation: Cu Ka
Structure: a cell relaxed with PBE
No peak broadening, texture or thermal motion is included.

Principal peaks in the range 5 to 70 degrees two-theta, sorted by position:
Position (°2θ)	I_rel
16.24	39
21.37	100
26.96	45
32.12	57
32.83	43
34.65	84
37.46	29
38.91	38
39.50	85
43.53	31

Cell and atoms:
```
data_PuCd3In
_cell_length_a 8.3168
_cell_length_b 8.3168
_cell_length_c 8.3593
_cell_angle_alpha 90.00
_cell_angle_beta 90.00
_cell_angle_gamma 120.00
_space_group_name_H-M_alt 'R 3 m'
_space_group_IT_number 160
_space_group_name_Hall 'R 3 -2"'
loop_
_atom_site_label
_atom_site_type_symbol
_atom_site_fract_x
_atom_site_fract_y
_atom_site_fract_z
_atom_site_occupancy
Pu1 Pu 0.0000 0.0000 0.0000 1
Cd1 Cd 0.2118 0.4237 0.9909 1
In1 In 0.0000 0.0000 0.6283 1
```

***

Theoretical X-ray powder pattern
Compound: Pu3Cd2In4
Radiation: Cu Ka
Structure: a cell relaxed with PBE
No peak broadening, texture or thermal motion is included.

Principal peaks in the range 5 to 70 degrees two-theta, sorted by position:
Position (°2θ)	I_rel
19.67	11
34.45	100
39.94	2
49.51	19
53.72	2
57.97	4
61.62	10
61.70	19
61.83	1
69.18	12

Cell and atoms:
```
data_Pu3Cd2In4
_cell_length_a 9.0374
_cell_length_b 15.6224
_cell_length_c 6.3636
_cell_angle_alpha 90.00
_cell_angle_beta 90.00
_cell_angle_gamma 90.00
_space_group_name_H-M_alt 'C c c m'
_space_group_IT_number 66
_space_group_name_Hall '-C 2 2c'
loop_
_atom_site_label
_atom_site_type_symbol
_atom_site_fract_x
_atom_site_fract_y
_atom_site_fract_z
_atom_site_occupancy
Pu1 Pu 0.0000 0.0000 0.2500 1
Pu2 Pu 0.0000 0.3345 0.2500 1
Cd1 Cd 0.1676 0.1685 0.0000 1
In1 In 0.1633 0.1676 0.5000 1
In2 In 0.1693 0.4990 0.0000 1
```

***

Theoretical X-ray powder pattern
Compound: Pu5Cd3In3
Radiation: Cu Ka
Structure: a cell relaxed with PBE
No peak broadening, texture or thermal motion is included.

Principal peaks in the range 5 to 70 degrees two-theta, sorted by position:
Position (°2θ)	I_rel
29.06	28
29.18	100
33.72	64
33.82	22
35.25	35
39.18	36
41.66	33
45.19	50
60.48	33
68.51	24

Cell and atoms:
```
data_Pu5Cd3In3
_cell_length_a 10.6003
_cell_length_b 10.6003
_cell_length_c 3.0724
_cell_angle_alpha 90.00
_cell_angle_beta 90.00
_cell_angle_gamma 120.00
_space_group_name_H-M_alt 'P -6 2 m'
_space_group_IT_number 189
_space_group_name_Hall 'P -6 -2'
loop_
_atom_site_label
_atom_site_type_symbol
_atom_site_fract_x
_atom_site_fract_y
_atom_site_fract_z
_atom_site_occupancy
Pu1 Pu 0.0000 0.3463 0.0000 1
Pu2 Pu 0.3333 0.6667 0.0000 1
Cd1 Cd 0.0000 0.8443 0.0000 1
In1 In 0.0000 0.6079 0.5000 1
```